[1]
Theoretical X-ray diffraction stick pattern
Compound: KAcCN2
Radiation: copper Kα
Structure: a structure optimized by DFT (GGA-PBE)

Atomic structure:
a = 7.2031 Å, b = 7.2031 Å, c = 5.5789 Å
α = 90.00°, β = 90.00°, γ = 107.01°
Sites, in units of the cell vectors:
K  0.2500  0.7500  0.9995
K  0.7500  0.2500  0.0005
Ac  0.2500  0.2500  0.5000
Ac  0.7500  0.7500  0.5000
C  0.0000  0.0000  0.0000
C  0.5000  0.5000  0.0000
N  0.9999  0.0001  0.2218
N  0.0001  0.9999  0.7782
N  0.5001  0.4999  0.2218
N  0.4999  0.5001  0.7782

Peak list (6 most intense, 15 to 90 degrees two-theta, in order of rising 2θ)
2theta	I (rel.)
15.30	955
22.13	1000
25.87	555
26.23	866
30.50	576
40.95	520

***

[2]
Theoretical X-ray diffraction stick pattern
Compound: KAcC2O6
Radiation: copper Kα
Structure: a structure optimized by DFT (GGA-PBE)

Atomic structure:
a = 6.8330 Å, b = 6.8330 Å, c = 7.4040 Å
α = 105.00°, β = 105.00°, γ = 96.89°
Sites, in units of the cell vectors:
K  0.1292  0.8708  0.7500
K  0.8708  0.1292  0.2500
Ac  0.3919  0.6081  0.2500
Ac  0.6081  0.3919  0.7500
C  0.1460  0.3753  0.7265
C  0.3753  0.1460  0.2265
C  0.6247  0.8540  0.7735
C  0.8540  0.6247  0.2735
O  0.0455  0.6124  0.3042
O  0.2061  0.2336  0.6123
O  0.2336  0.2061  0.1123
O  0.2890  0.5133  0.8753
O  0.3876  0.9545  0.1958
O  0.4867  0.7110  0.6247
O  0.5133  0.2890  0.3753
O  0.6124  0.0455  0.8042
O  0.7110  0.4867  0.1247
O  0.7664  0.7939  0.8877
O  0.7939  0.7664  0.3877
O  0.9545  0.3876  0.6958

Peak list (6 most intense, 15 to 90 degrees two-theta, in order of rising 2θ)
2theta	I (rel.)
15.78	363
21.29	334
21.73	599
26.14	509
26.71	1000
34.09	349

***

[3]
Theoretical X-ray diffraction stick pattern
Compound: AcLa3C8
Radiation: copper Kα
Structure: a structure optimized by DFT (GGA-PBE)

Atomic structure:
a = 6.6551 Å, b = 6.6488 Å, c = 7.3984 Å
α = 56.25°, β = 56.17°, γ = 67.57°
Sites, in units of the cell vectors:
Ac  0.0000  0.0000  0.0000
La  0.2493  0.2493  0.2507
La  0.5003  0.5003  0.4997
La  0.7493  0.7493  0.7507
C  0.0759  0.4179  0.9241
C  0.1204  0.5867  0.4133
C  0.4148  0.8805  0.5852
C  0.4179  0.0759  0.5821
C  0.5829  0.9250  0.0750
C  0.5867  0.1204  0.8796
C  0.8805  0.4148  0.1195
C  0.9250  0.5829  0.4171

Peak list (6 most intense, 15 to 90 degrees two-theta, in order of rising 2θ)
2theta	I (rel.)
24.06	563
27.61	1000
34.28	345
44.57	601
50.84	199
68.59	154

***

[4]
Theoretical X-ray diffraction stick pattern
Compound: AcLaC
Radiation: copper Kα
Structure: a structure optimized by DFT (GGA-PBE)

Atomic structure:
a = 3.9789 Å, b = 3.9791 Å, c = 11.0448 Å
α = 90.00°, β = 90.03°, γ = 90.00°
Sites, in units of the cell vectors:
Ac  0.2496  0.2500  0.1260
Ac  0.7504  0.7500  0.8740
La  0.2492  0.2500  0.6328
La  0.7508  0.7500  0.3671
C  0.2510  0.2500  0.8432
C  0.7490  0.7500  0.1568

Peak list (6 most intense, 15 to 90 degrees two-theta, in order of rising 2θ)
2theta	I (rel.)
27.63	1000
31.80	396
32.42	182
46.06	277
54.15	322
54.96	154

***

Q: Which formula does entry 3 have?
A: AcLa3C8